Entry 1:
This entry pairs a crystal structure of NaCe2Zn9 with its simulated powder X-ray diffraction pattern. Radiation: λ = 1.5418 Å (Cu Kα). Structure: a crystal structure in Alexandria, relaxed with GGA-PBE.

Atomic structure:
```
data_NaCe2Zn9
_chemical_formula_sum 'Na3 Ce6 Zn27'
_cell_length_a 5.4385
_cell_length_b 5.4385
_cell_length_c 26.4165
_cell_angle_alpha 90.00
_cell_angle_beta 90.00
_cell_angle_gamma 120.00
_space_group_name_H-M_alt 'R -3 m'
_space_group_IT_number 166
_space_group_name_Hall '-R 3 2"'
loop_
_atom_site_label
_atom_site_type_symbol
_atom_site_fract_x
_atom_site_fract_y
_atom_site_fract_z
Na1 Na 0.0000 0.0000 0.0000
Ce1 Ce 0.0000 0.0000 0.1488
Zn1 Zn 0.0000 0.0000 0.3352
Zn2 Zn 0.0000 0.0000 0.5000
Zn3 Zn 0.0031 0.5016 0.9185
```

Most intense lines, 5° ≤ 2θ ≤ 70°, in order of rising 2θ:
hkl, d (Å), 2θ/deg, I/Imax
0 0 3, 8.805, 10.0, 26
1 0 7, 2.945, 30.4, 19
1 1 0, 2.719, 32.9, 30
0 2 1, 2.346, 38.4, 25
1 1 6, 2.314, 38.9, 100
0 2 4, 2.218, 40.7, 20
0 0 12, 2.201, 41.0, 20
2 0 5, 2.151, 42.0, 25
3 0 6, 1.479, 62.8, 23
2 2 0, 1.360, 69.1, 21

Entry 2:
This entry pairs a crystal structure of CeNbNi10 with its simulated powder X-ray diffraction pattern. Radiation: λ = 1.5418 Å (Cu Kα). Structure: a crystal structure in Alexandria, relaxed with GGA-PBE.

Atomic structure:
```
data_CeNbNi10
_chemical_formula_sum 'Ce1 Nb1 Ni10'
_cell_length_a 3.9799
_cell_length_b 4.7615
_cell_length_c 8.2724
_cell_angle_alpha 90.00
_cell_angle_beta 90.00
_cell_angle_gamma 90.00
_space_group_name_H-M_alt 'P m m m'
_space_group_IT_number 47
_space_group_name_Hall '-P 2 2'
loop_
_atom_site_label
_atom_site_type_symbol
_atom_site_fract_x
_atom_site_fract_y
_atom_site_fract_z
Ce1 Ce 0.0000 0.0000 0.0000
Nb1 Nb 0.0000 0.5000 0.5000
Ni1 Ni 0.0000 0.0000 0.3413
Ni2 Ni 0.0000 0.5000 0.1780
Ni3 Ni 0.5000 0.0000 0.5000
Ni4 Ni 0.5000 0.2566 0.2608
Ni5 Ni 0.5000 0.5000 0.0000
```

Most intense lines, 5° ≤ 2θ ≤ 70°, in order of rising 2θ:
hkl, d (Å), 2θ/deg, I/Imax
1 1 1, 2.866, 31.2, 38
0 2 0, 2.384, 37.7, 27
0 0 4, 2.068, 43.8, 11
0 2 2, 2.063, 43.9, 21
1 2 0, 2.045, 44.3, 100
2 0 0, 1.990, 45.6, 31
1 2 2, 1.832, 49.8, 9
2 2 0, 1.528, 60.6, 14
1 2 4, 1.454, 64.0, 6
2 0 4, 1.433, 65.1, 19

Entry 3:
This entry pairs a crystal structure of CeNbO4 with its simulated powder X-ray diffraction pattern. Radiation: λ = 1.5418 Å (Cu Kα). Structure: a crystal structure in Alexandria, relaxed with GGA-PBE.

Atomic structure:
```
data_CeNbO4
_chemical_formula_sum 'Ce4 Nb4 O16'
_cell_length_a 5.3916
_cell_length_b 5.3916
_cell_length_c 11.5057
_cell_angle_alpha 90.00
_cell_angle_beta 90.00
_cell_angle_gamma 90.00
_space_group_name_H-M_alt 'I 41/a'
_space_group_IT_number 88
loop_
_space_group_symop_operation_xyz
'x,y,z'
'-x,-y,-z'
'-y+3/4,x+1/4,z+1/4'
'y+3/4,-x+1/4,-z+1/4'
'-x+1/2,-y,z+1/2'
'x+1/2,y,-z+1/2'
'y+3/4,-x+3/4,z+3/4'
'-y+3/4,x+3/4,-z+3/4'
'x+1/2,y+1/2,z+1/2'
'-x+1/2,-y+1/2,-z+1/2'
'-y+1/4,x+3/4,z+3/4'
'y+1/4,-x+3/4,-z+3/4'
'-x,-y+1/2,z'
'x,y+1/2,-z'
'y+1/4,-x+1/4,z+1/4'
'-y+1/4,x+1/4,-z+1/4'
loop_
_atom_site_label
_atom_site_type_symbol
_atom_site_fract_x
_atom_site_fract_y
_atom_site_fract_z
Ce1 Ce 0.0000 0.2500 0.1250
Nb1 Nb 0.0000 0.2500 0.6250
O1 O 0.1694 0.0020 0.7122
```

Most intense lines, 5° ≤ 2θ ≤ 70°, in order of rising 2θ:
hkl, d (Å), 2θ/deg, I/Imax
1 0 1, 4.882, 18.2, 3
1 1 2, 3.178, 28.1, 100
0 0 4, 2.876, 31.1, 13
2 0 0, 2.696, 33.2, 19
2 0 4, 1.967, 46.1, 31
2 2 0, 1.906, 47.7, 15
1 1 6, 1.713, 53.5, 16
3 1 2, 1.635, 56.3, 28
2 2 4, 1.589, 58.0, 11
4 0 0, 1.348, 69.8, 4

Entry 4:
This entry pairs a crystal structure of CeNb3O6 with its simulated powder X-ray diffraction pattern. Radiation: λ = 1.5418 Å (Cu Kα). Structure: a crystal structure in Alexandria, relaxed with GGA-PBE.

Atomic structure:
```
data_CeNb3O6
_chemical_formula_sum 'Ce2 Nb6 O12'
_cell_length_a 9.1045
_cell_length_b 3.0920
_cell_length_c 9.7436
_cell_angle_alpha 90.00
_cell_angle_beta 110.89
_cell_angle_gamma 90.00
_space_group_name_H-M_alt 'P 1 21/m 1'
_space_group_IT_number 11
_space_group_name_Hall '-P 2yb'
loop_
_atom_site_label
_atom_site_type_symbol
_atom_site_fract_x
_atom_site_fract_y
_atom_site_fract_z
Ce1 Ce 0.1256 0.2500 0.3790
Nb1 Nb 0.1298 0.2500 0.0472
Nb2 Nb 0.2599 0.7500 0.7624
Nb3 Nb 0.4798 0.7500 0.3787
O1 O 0.0609 0.7500 0.1704
O2 O 0.1043 0.2500 0.6362
O3 O 0.2345 0.7500 0.9473
O4 O 0.3205 0.2500 0.2608
O5 O 0.3311 0.7500 0.5294
O6 O 0.4157 0.2500 0.7852
```

Most intense lines, 5° ≤ 2θ ≤ 70°, in order of rising 2θ:
hkl, d (Å), 2θ/deg, I/Imax
0 0 1, 9.103, 9.7, 49
2 0 1, 3.414, 26.1, 42
1 0 -3, 3.248, 27.5, 56
3 0 -1, 3.033, 29.5, 100
3 0 -2, 2.924, 30.6, 39
1 1 -2, 2.597, 34.5, 64
2 1 0, 2.501, 35.9, 59
2 1 1, 2.292, 39.3, 46
1 1 3, 1.982, 45.8, 60
4 1 -3, 1.757, 52.0, 58